This entry pairs a crystal structure of KBeCrO3 with its theoretical powder diffractogram. Radiation: Cu Kα X-rays. Structure: a DFT-relaxed cell (GGA+U, Alexandria).
Neutral-atom scattering factors, no anomalous dispersion.

Crystal structure
a b c (Å): 7.202 3.051 7.381
angles (deg): 90.00 111.39 90.00
Space group P2_1/m (No. 11)
Asymmetric unit:
K1 0.216 0.250 0.231 x2
Be1 0.081 0.250 0.607 x2
Cr1 0.335 0.750 0.854 x2
O1 0.139 0.250 0.836 x2
O2 0.154 0.750 0.548 x2
O3 0.478 0.750 0.142 x2

Most intense lines, 5 to 70 degrees two-theta, by angle:
12.9 deg, I 67, (0 0 1)
14.7 deg, I 99, (1 0 -1)
25.9 deg, I 26, (0 0 2)
26.6 deg, I 27, (2 0 0)
29.7 deg, I 47, (2 0 -2)
32.1 deg, I 37, (0 1 1)
38.8 deg, I 100, (2 1 -1)
39.3 deg, I 33, (0 0 3)
40.0 deg, I 33, (2 1 0)
49.7 deg, I 16, (1 0 -4)
53.8 deg, I 17, (2 1 2)
63.3 deg, I 16, (4 1 -3)